Starting from a structure optimized by DFT (GGA-PBE), the PXRD pattern of Ho2ErZn2Ge2 was simulated for Cu Kα X-rays.
No peak broadening, texture or thermal motion is included.

Main lines, by angle (10 to 90 degrees two-theta):
2θ (°), I_rel
25.10, 38
31.48, 87
33.24, 100
37.17, 24
43.94, 81
61.78, 31

Cell and atoms:
a = 11.2200 Å, b = 11.2200 Å, c = 11.2200 Å
α = 21.16°, β = 21.16°, γ = 21.16°
Positions (direct):
Ho  0.1226  0.1226  0.1226
Ho  0.8774  0.8774  0.8774
Er  0.0000  0.0000  0.0000
Zn  0.3971  0.3971  0.3971
Zn  0.6029  0.6029  0.6029
Ge  0.2739  0.2739  0.2739
Ge  0.7261  0.7261  0.7261